1.
This entry pairs a crystal structure of AcLaPm4Nd2 with its calculated XRD peak list. Radiation: CuKα. Structure: a DFT-relaxed cell (GGA-PBE, Alexandria).
Intensities are scaled so that the largest is 100.

Structure:
abc: 7.4457 7.4484 10.4522
angles: 90.00 90.00 90.00
Fractional positions:
Ac1 0.0000 0.0000 0.0000
Ac2 0.0000 0.5000 0.5004
La1 0.0000 0.0000 0.5006
La2 0.5000 0.0000 0.5003
Pm1 0.2544 0.2513 0.2490
Pm2 0.2544 0.7487 0.2490
Pm3 0.2547 0.2516 0.7519
Pm4 0.2547 0.7484 0.7519
Pm5 0.7453 0.2516 0.7519
Pm6 0.7453 0.7484 0.7519
Pm7 0.7456 0.2513 0.2490
Pm8 0.7456 0.7487 0.2490
Nd1 0.0000 0.5000 0.0003
Nd2 0.5000 0.0000 0.0004
Nd3 0.5000 0.5000 0.0007
Nd4 0.5000 0.5000 0.5000

Main lines, sorted by position (2θ from 10° to 90°):
- 29.5°, I = 100
- 34.1°, I = 34
- 34.3°, I = 17
- 49.1°, I = 24
- 58.1°, I = 29
- 58.5°, I = 14

---

2.
This entry pairs a crystal structure of Y2TmCd6 with its calculated XRD peak list. Radiation: CuKα. Structure: a DFT-relaxed cell (GGA-PBE, Alexandria).
Intensities are scaled so that the largest is 100.

Structure:
abc: 8.5896 8.5896 3.4363
angles: 90.00 90.00 120.00
Fractional positions:
Y1 0.3333 0.6667 0.0000
Y2 0.6667 0.3333 0.0000
Tm1 0.0000 0.0000 0.0000
Cd1 0.0000 0.3323 0.5000
Cd2 0.0000 0.6677 0.5000
Cd3 0.3323 0.0000 0.5000
Cd4 0.3323 0.3323 0.5000
Cd5 0.6677 0.0000 0.5000
Cd6 0.6677 0.6677 0.5000

Main lines, sorted by position (2θ from 10° to 90°):
- 33.4°, I = 100
- 36.2°, I = 90
- 50.1°, I = 31
- 63.4°, I = 30
- 65.2°, I = 15
- 66.2°, I = 29

---

3.
This entry pairs a crystal structure of Tb2Nd2Hg7 with its calculated XRD peak list. Radiation: CuKα. Structure: a DFT-relaxed cell (GGA-PBE, Alexandria).
Intensities are scaled so that the largest is 100.

Structure:
abc: 7.3937 7.3937 6.2631
angles: 90.00 90.00 96.45
Fractional positions:
Tb1 0.2253 0.7747 0.0000
Tb2 0.7747 0.2253 0.0000
Nd1 0.3111 0.3111 0.5000
Nd2 0.6889 0.6889 0.5000
Hg1 0.0000 0.0000 0.2699
Hg2 0.0000 0.0000 0.7301
Hg3 0.0000 0.5000 0.2640
Hg4 0.0000 0.5000 0.7360
Hg5 0.5000 0.0000 0.2640
Hg6 0.5000 0.0000 0.7360
Hg7 0.5000 0.5000 0.0000

Main lines, sorted by position (2θ from 10° to 90°):
- 23.0°, I = 45
- 24.2°, I = 55
- 31.0°, I = 32
- 32.5°, I = 64
- 36.5°, I = 37
- 37.7°, I = 100

---

4.
This entry pairs a crystal structure of Li5Ag3Sb4 with its calculated XRD peak list. Radiation: CuKα. Structure: a DFT-relaxed cell (GGA-PBE, Alexandria).
Intensities are scaled so that the largest is 100.

Structure:
abc: 5.9097 6.5946 7.3649
angles: 73.74 68.06 67.66
Fractional positions:
Li1 0.0000 0.0000 0.0000
Li2 0.2483 0.3430 0.6671
Li3 0.2595 0.4819 0.0003
Li4 0.7405 0.5181 0.9997
Li5 0.7517 0.6570 0.3329
Ag1 0.0109 0.1913 0.3062
Ag2 0.5000 0.0000 0.0000
Ag3 0.9891 0.8087 0.6938
Sb1 0.2514 0.6900 0.2935
Sb2 0.4756 0.8196 0.6933
Sb3 0.5244 0.1804 0.3067
Sb4 0.7486 0.3100 0.7065

Main lines, sorted by position (2θ from 10° to 90°):
- 18.1°, I = 80
- 26.4°, I = 57
- 30.3°, I = 73
- 34.5°, I = 87
- 36.7°, I = 100
- 41.0°, I = 55

---

5.
This entry pairs a crystal structure of Sr3Zn2Au with its calculated XRD peak list. Radiation: CuKα. Structure: a DFT-relaxed cell (GGA-PBE, Alexandria).
Intensities are scaled so that the largest is 100.

Structure:
abc: 12.8737 4.6243 12.9482
angles: 90.00 90.00 90.00
Fractional positions:
Sr1 0.0519 0.2500 0.1261
Sr2 0.1180 0.7500 0.5566
Sr3 0.2164 0.2500 0.8000
Sr4 0.2836 0.7500 0.3000
Sr5 0.3820 0.2500 0.0566
Sr6 0.4481 0.7500 0.6261
Sr7 0.5519 0.2500 0.3739
Sr8 0.6180 0.7500 0.9434
Sr9 0.7164 0.2500 0.7000
Sr10 0.7836 0.7500 0.2000
Sr11 0.8820 0.2500 0.4434
Sr12 0.9481 0.7500 0.8739
Zn1 0.0227 0.7500 0.3129
Zn2 0.2000 0.7500 0.9959
Zn3 0.3000 0.2500 0.4959
Zn4 0.4773 0.2500 0.8129
Zn5 0.5227 0.7500 0.1871
Zn6 0.7000 0.7500 0.5041
Zn7 0.8000 0.2500 0.0041
Zn8 0.9773 0.2500 0.6871
Au1 0.1229 0.2500 0.3713
Au2 0.3771 0.7500 0.8713
Au3 0.6229 0.2500 0.1287
Au4 0.8771 0.7500 0.6287

Main lines, sorted by position (2θ from 10° to 90°):
- 15.3°, I = 100
- 28.3°, I = 87
- 31.6°, I = 91
- 34.7°, I = 60
- 36.7°, I = 74
- 39.0°, I = 55

---

6.
This entry pairs a crystal structure of Er3InPd4 with its calculated XRD peak list. Radiation: CuKα. Structure: a DFT-relaxed cell (GGA-PBE, Alexandria).
Intensities are scaled so that the largest is 100.

Structure:
abc: 4.8588 4.8588 6.8517
angles: 90.00 90.00 90.00
Fractional positions:
Er1 0.0000 0.0000 0.0000
Er2 0.0000 0.0000 0.5000
Er3 0.5000 0.5000 0.0000
In1 0.5000 0.5000 0.5000
Pd1 0.0000 0.5000 0.2464
Pd2 0.0000 0.5000 0.7536
Pd3 0.5000 0.0000 0.2464
Pd4 0.5000 0.0000 0.7536

Main lines, sorted by position (2θ from 10° to 90°):
- 37.0°, I = 100
- 53.3°, I = 12
- 53.5°, I = 6
- 66.7°, I = 23
- 66.8°, I = 12
- 78.9°, I = 7